Diffraction record for Tl6Pt3I14. The powder XRD pattern is calculated, not measured: it uses a cell relaxed with PBE and copper Kα.

Crystal structure
a = 12.0281 Å, b = 12.0281 Å, c = 7.9988 Å
α = 90.00°, β = 90.00°, γ = 120.00°
Space group P3 (No. 143)
Asymmetric unit:
Tl  0.0406  0.4746  0.0000 [3 per cell]
Tl  0.2774  0.2176  0.4763 [3 per cell]
Pt  0.0000  0.0000  0.0181 [1 per cell]
Pt  0.3333  0.6667  0.5531 [1 per cell]
Pt  0.6667  0.3333  0.6490 [1 per cell]
I  0.0000  0.0000  0.6862 [1 per cell]
I  0.0455  0.2124  0.1875 [3 per cell]
I  0.2039  0.7567  0.7282 [3 per cell]
I  0.3333  0.6667  0.2219 [1 per cell]
I  0.4567  0.2529  0.8472 [3 per cell]
I  0.5241  0.1241  0.4536 [3 per cell]

Main lines, most intense first (2θ = 10–90°):
2θ (°)  d_spacing  I (rel.)  hkl
25.21  3.532  100  3 -1 1
20.35  4.365  76  2 0 1
31.90  2.806  65  2 1 2
28.01  3.185  53  3 0 1
18.46  4.807  48  2 -1 1
28.13  3.172  47  0 2 2
32.96  2.717  46  1 3 1
37.91  2.373  36  0 2 3